(1)
Theoretical powder diffraction line list of Tm3MgAl2CuAu2 for a wavelength of 1.5418 Å, from the PBE geometry in OQMD.
Peak positions follow from Bragg's law for the DFT cell and can differ from measured ones.

Most intense lines, 2θ = 10–80°, in order of rising 2θ:
- 13.98 deg, I = 38, hkl 0 1 1
- 14.23 deg, I = 23, hkl 0 2 0
- 24.63 deg, I = 36, hkl 0 3 1
- 33.02 deg, I = 53, hkl 1 0 2
- 33.36 deg, I = 100, hkl 1 3 1
- 36.12 deg, I = 71, hkl 1 2 2
- 36.54 deg, I = 35, hkl 1 4 0
- 42.82 deg, I = 31, hkl 0 3 3
- 45.18 deg, I = 29, hkl 2 0 0
- 64.00 deg, I = 19, hkl 2 3 3

Structure:
Unit cell a=4.0139 b=12.4456 c=7.3603 alpha=90.00 beta=90.00 gamma=90.00
Space group Amm2 (No. 38)
Asymmetric unit:
1 Tm 0.0000 0.0000 0.0000 [2 per cell]
2 Tm 0.0000 0.2073 0.3940 [4 per cell]
3 Mg 0.5000 0.0000 0.3613 [2 per cell]
4 Al 0.5000 0.1160 0.7169 [4 per cell]
5 Cu 0.0000 0.0000 0.6114 [2 per cell]
6 Au 0.5000 0.1690 0.0969 [4 per cell]

(2)
Theoretical powder diffraction line list of Zr3Al3CuNiAu for a wavelength of 1.5418 Å, from the PBE geometry in OQMD.
Peak positions follow from Bragg's law for the DFT cell and can differ from measured ones.

Most intense lines, 2θ = 10–80°, in order of rising 2θ:
- 15.10 deg, I = 44, hkl 1 0 0
- 26.30 deg, I = 40, hkl 1 1 0
- 27.53 deg, I = 35, hkl 1 0 1
- 35.14 deg, I = 100, hkl 1 1 1
- 38.44 deg, I = 81, hkl 2 0 1
- 40.68 deg, I = 30, hkl 1 2 0
- 46.42 deg, I = 36, hkl 3 0 0
- 46.75 deg, I = 24, hkl 0 0 2
- 47.18 deg, I = 34, hkl 2 1 1
- 68.00 deg, I = 23, hkl 3 0 2

Structure:
Unit cell a=6.7760 b=6.7760 c=3.8863 alpha=90.00 beta=90.00 gamma=120.00
Space group P-6 (No. 174)
Asymmetric unit:
1 Zr 0.0154 0.6055 0.0000 [3 per cell]
2 Al 0.0017 0.2406 0.5000 [3 per cell]
3 Cu 0.3333 0.6667 0.5000 [1 per cell]
4 Ni 0.0000 0.0000 0.0000 [1 per cell]
5 Au 0.6667 0.3333 0.5000 [1 per cell]

(3)
Theoretical powder diffraction line list of Zr2Al2CuAu for a wavelength of 1.5418 Å, from the PBE geometry in OQMD.
Peak positions follow from Bragg's law for the DFT cell and can differ from measured ones.

Most intense lines, 2θ = 10–80°, in order of rising 2θ:
- 24.93 deg, I = 88, hkl 1 1 1
- 41.28 deg, I = 100, hkl 0 2 0
- 48.73 deg, I = 14, hkl 4 0 0
- 48.88 deg, I = 28, hkl 2 2 -2
- 59.63 deg, I = 5, hkl 4 0 4
- 59.89 deg, I = 11, hkl 2 2 -6
- 65.76 deg, I = 11, hkl 4 2 0
- 65.89 deg, I = 6, hkl 1 3 1
- 75.14 deg, I = 11, hkl 6 0 -2
- 75.31 deg, I = 22, hkl 3 3 -1

Structure:
Unit cell a=7.5865 b=4.3686 c=14.4992 alpha=90.00 beta=99.83 gamma=90.00
Space group Pm (No. 6)
Asymmetric unit:
1 Zr 0.0000 0.0000 0.0000 [1 per cell]
2 Zr 0.0097 0.5000 0.4937 [1 per cell]
3 Zr 0.2345 0.0000 0.7366 [1 per cell]
4 Zr 0.2477 0.5000 0.2423 [1 per cell]
5 Zr 0.4820 0.0000 0.4843 [1 per cell]
6 Zr 0.5002 0.5000 0.9999 [1 per cell]
7 Zr 0.7436 0.0000 0.2362 [1 per cell]
8 Zr 0.7588 0.5000 0.7399 [1 per cell]
9 Al 0.1228 0.0000 0.3631 [1 per cell]
10 Al 0.1233 0.5000 0.8641 [1 per cell]
11 Al 0.3683 0.5000 0.6133 [1 per cell]
12 Al 0.3722 0.0000 0.1228 [1 per cell]
13 Al 0.6164 0.5000 0.3633 [1 per cell]
14 Al 0.6210 0.0000 0.8659 [1 per cell]
15 Al 0.8750 0.0000 0.6148 [1 per cell]
16 Al 0.8759 0.5000 0.1231 [1 per cell]
17 Cu 0.0615 0.0000 0.1827 [1 per cell]
18 Cu 0.0608 0.5000 0.6770 [1 per cell]
19 Cu 0.3077 0.5000 0.4261 [1 per cell]
20 Cu 0.5588 0.5000 0.1820 [1 per cell]
21 Au 0.3096 0.0000 0.9293 [1 per cell]
22 Au 0.5581 0.0000 0.6763 [1 per cell]
23 Au 0.8089 0.0000 0.4275 [1 per cell]
24 Au 0.8109 0.5000 0.9307 [1 per cell]